K2BaWO4: computed powder diffractogram (a wavelength of 1.5418 Å), based on a DFT-relaxed cell (PBE+U, Alexandria).
Kinematic intensities with the Lorentz-polarization factor, no thermal factor.

Unit cell a=5.892 b=5.892 c=5.892 alpha=113.84 beta=113.84 gamma=101.06
Element x y z (fractional)
K 0.000 0.000 0.000
K 0.750 0.250 0.500
Ba 0.500 0.500 0.000
W 0.250 0.750 0.500
O 0.001 0.921 0.470
O 0.079 0.550 0.080
O 0.450 0.530 0.530
O 0.470 0.999 0.920

Largest 12 diffraction maxima, sorted by position, 15° ≤ 2θ ≤ 90°:
4.880 Å, 18.18°, I 73.8; 3.216 Å, 27.74°, I 46.7; 2.891 Å, 30.93°, I 100.0; 2.685 Å, 33.37°, I 24.5; 2.328 Å, 38.68°, I 11.0; 2.274 Å, 39.63°, I 30.9; 1.788 Å, 51.10°, I 44.7; 1.735 Å, 52.75°, I 11.4; 1.618 Å, 56.89°, I 13.6; 1.446 Å, 64.45°, I 13.3; 1.405 Å, 66.54°, I 11.4; 1.196 Å, 80.31°, I 12.8